Record 1
The following is a simulated X-ray diffraction stick pattern of Pr3Ge5. It was derived from a crystal structure in the Materials Project, relaxed with GGA-PBE, using Cu Kα.
Kinematic intensities with the Lorentz-polarization factor, no thermal factor.

Atomic structure:
```
Pr3Ge5
1.0
0.000 9.043 7.110
3.004 0.000 7.110
3.004 9.043 0.000
Pr Ge
6 10
Direct
0.000 0.000 0.000
0.250 0.250 0.250
0.354 0.659 0.310
0.574 0.940 0.591
0.659 0.354 0.676
0.940 0.574 0.896
0.034 0.779 0.331
0.172 0.499 0.003
0.247 0.923 0.078
0.394 0.919 0.471
0.444 0.444 0.556
0.499 0.172 0.327
0.694 0.694 0.806
0.779 0.034 0.856
0.919 0.394 0.216
0.923 0.247 0.751
```

The 6 most intense peaks (2θ = 10–90°), by angle:
- 28.2°, I = 38
- 32.3°, I = 100
- 38.1°, I = 47
- 42.5°, I = 36
- 49.7°, I = 21
- 58.3°, I = 11

Record 2
The following is a simulated X-ray diffraction stick pattern of Pr5Ge4. It was derived from a crystal structure in the Materials Project, relaxed with GGA-PBE, using Cu Kα.
Kinematic intensities with the Lorentz-polarization factor, no thermal factor.

Atomic structure:
```
Pr5Ge4
1.0
8.017 0.000 0.000
0.000 15.358 0.000
0.000 0.000 8.111
Pr Ge
20 16
Direct
0.025 0.103 0.179
0.025 0.397 0.179
0.120 0.614 0.340
0.120 0.886 0.340
0.215 0.250 0.503
0.285 0.750 0.003
0.380 0.114 0.840
0.380 0.386 0.840
0.475 0.603 0.679
0.475 0.897 0.679
0.525 0.103 0.321
0.525 0.397 0.321
0.620 0.614 0.160
0.620 0.886 0.160
0.715 0.250 0.997
0.785 0.750 0.497
0.880 0.114 0.660
0.880 0.386 0.660
0.975 0.603 0.821
0.975 0.897 0.821
0.090 0.250 0.891
0.175 0.750 0.632
0.222 0.045 0.532
0.222 0.455 0.532
0.278 0.545 0.032
0.278 0.955 0.032
0.325 0.250 0.132
0.410 0.750 0.391
0.590 0.250 0.609
0.675 0.750 0.868
0.722 0.045 0.968
0.722 0.455 0.968
0.778 0.545 0.468
0.778 0.955 0.468
0.825 0.250 0.368
0.910 0.750 0.109
```

The 6 most intense peaks (2θ = 10–90°), by angle:
- 30.2°, I = 100
- 31.4°, I = 38
- 32.1°, I = 45
- 32.3°, I = 39
- 34.2°, I = 51
- 35.5°, I = 48

Record 3
The following is a simulated X-ray diffraction stick pattern of PrGe2. It was derived from a crystal structure in the Materials Project, relaxed with GGA-PBE, using Cu Kα.
Kinematic intensities with the Lorentz-polarization factor, no thermal factor.

Atomic structure:
```
PrGe2
1.0
-2.098 2.098 8.129
2.098 -2.098 8.129
2.098 2.098 -8.129
Pr Ge
2 4
Direct
0.375 0.625 0.750
0.625 0.375 0.250
0.045 0.795 0.250
0.205 0.955 0.250
0.795 0.045 0.750
0.955 0.205 0.750
```

The 6 most intense peaks (2θ = 10–90°), by angle:
- 26.9°, I = 28
- 32.1°, I = 100
- 34.9°, I = 56
- 43.1°, I = 38
- 44.6°, I = 33
- 56.6°, I = 27

Record 4
The following is a simulated X-ray diffraction stick pattern of PrGe2. It was derived from a crystal structure in the Materials Project, relaxed with GGA-PBE, using Cu Kα.
Kinematic intensities with the Lorentz-polarization factor, no thermal factor.

Atomic structure:
```
PrGe2
1.0
-2.072 2.134 8.049
2.072 -2.134 8.049
2.072 2.134 -8.049
Pr Ge
2 4
Direct
0.377 0.127 0.250
0.623 0.873 0.750
0.047 0.297 0.750
0.208 0.458 0.750
0.792 0.542 0.250
0.953 0.703 0.250
```

The 6 most intense peaks (2θ = 10–90°), by angle:
- 32.1°, I = 100
- 34.9°, I = 28
- 35.3°, I = 28
- 42.4°, I = 20
- 43.7°, I = 19
- 44.8°, I = 16

Number 3 is which compound?
PrGe2

Which formula does entry 2 have?
Pr5Ge4